The following is a calculated powder XRD pattern of LaDyCrN3. It was derived from a cell relaxed with GGA-PBE, using λ = 1.5418 Å (Cu Kα).
No peak broadening, texture or thermal motion is included.

Cell and atoms:
Unit cell a=7.319 b=3.439 c=7.669 alpha=90.00 beta=100.34 gamma=90.00
Positions (direct):
La 0.194 0.250 0.192
La 0.806 0.750 0.808
Dy 0.170 0.250 0.637
Dy 0.830 0.750 0.363
Cr 0.401 0.750 0.919
Cr 0.599 0.250 0.081
N 0.151 0.750 0.411
N 0.153 0.750 0.865
N 0.486 0.250 0.842
N 0.514 0.750 0.158
N 0.847 0.250 0.135
N 0.849 0.250 0.589

Most intense lines, 5° ≤ 2θ ≤ 70°, by angle:
| index | Position (°2θ) | d_spacing | I (rel.) |
| --- | --- | --- | --- |
| 1 0 2 | 28.6 | 3.119 | 45 |
| 1 1 0 | 28.8 | 3.104 | 72 |
| 2 0 -2 | 31.1 | 2.875 | 60 |
| 0 1 2 | 35.3 | 2.542 | 87 |
| 2 1 0 | 36.1 | 2.490 | 100 |
| 3 0 0 | 37.5 | 2.400 | 41 |